Starting from a DFT-relaxed cell (PBE, Alexandria), the X-ray powder pattern of Tb2CeNdY was computed for Cu Ka.

Principal peaks in the range 2θ from 5° to 70°, by angle:
- d = 3.441 Å, I = 21
- d = 3.251 Å, I = 22
- d = 3.061 Å, I = 18
- d = 2.976 Å, I = 100
- d = 2.852 Å, I = 31
- d = 2.589 Å, I = 19
- d = 2.282 Å, I = 23
- d = 1.894 Å, I = 18
- d = 1.716 Å, I = 16
- d = 1.679 Å, I = 21

Structure:
```
Tb2CeNdY
1.0
5.9391 0.0000 0.0000
0.0000 7.8542 0.0000
0.0000 0.0000 7.1436
Tb Ce Nd Y
4 2 2 2
Cartesian
1.4848 1.6286 1.3065
1.4848 6.2256 1.3065
4.4544 1.6286 5.8371
4.4544 6.2256 5.8371
0.0000 3.9271 3.5718
2.9696 3.9271 3.5718
1.4848 0.0000 4.7349
4.4544 0.0000 2.4086
1.4848 3.9271 6.3718
4.4544 3.9271 0.7717
```

=====

Starting from a DFT-relaxed cell (PBE, Alexandria), the X-ray powder pattern of DyZnBr was computed for Cu Ka.

Principal peaks in the range 2θ from 5° to 70°, by angle:
- d = 11.507 Å, I = 100
- d = 5.753 Å, I = 12
- d = 3.539 Å, I = 34
- d = 2.885 Å, I = 91
- d = 2.745 Å, I = 29
- d = 2.477 Å, I = 25
- d = 2.353 Å, I = 23
- d = 2.054 Å, I = 48
- d = 1.673 Å, I = 18
- d = 1.402 Å, I = 23

Structure:
```
DyZnBr
1.0
2.0540 1.1859 11.5069
-2.0540 1.1859 11.5069
0.0000 -2.3717 11.5069
Dy Zn Br
2 2 2
Cartesian
0.0000 0.0000 2.0544
0.0000 0.0000 32.4663
0.0000 0.0000 11.6971
0.0000 0.0000 22.8236
0.0000 0.0000 7.6735
0.0000 0.0000 26.8472
```

=====

Starting from a DFT-relaxed cell (PBE, Alexandria), the X-ray powder pattern of Tb4GaHg was computed for Cu Ka.

Principal peaks in the range 2θ from 5° to 70°, by angle:
- d = 2.845 Å, I = 100
- d = 2.830 Å, I = 25
- d = 2.749 Å, I = 41
- d = 2.610 Å, I = 54
- d = 2.531 Å, I = 24
- d = 2.502 Å, I = 40
- d = 2.320 Å, I = 16
- d = 1.874 Å, I = 21
- d = 1.564 Å, I = 23
- d = 1.500 Å, I = 17

Structure:
```
Tb4GaHg
1.0
8.6327 0.0000 0.0000
0.0000 3.7487 0.0000
0.0000 0.0000 20.2507
Tb Ga Hg
16 4 4
Cartesian
0.2381 0.9372 4.3604
0.2934 0.9372 18.7392
1.0863 0.9372 8.7726
1.2098 0.9372 13.5023
3.1066 2.8116 3.3770
3.2301 2.8116 18.8979
4.0229 2.8116 8.6138
4.0782 2.8116 14.4858
4.5545 0.9372 5.7649
4.6098 0.9372 11.6369
5.4027 0.9372 1.3528
5.5262 0.9372 16.8738
7.4229 2.8116 6.7484
7.5464 2.8116 11.4782
8.3393 2.8116 1.5116
8.3946 2.8116 15.8903
1.9439 2.8116 6.3098
2.3724 0.9372 16.4352
6.2603 2.8116 3.8156
6.6888 0.9372 13.9409
2.0943 2.8116 11.1375
2.2221 0.9372 1.0121
6.4107 2.8116 19.2386
6.5384 0.9372 9.1133
```

=====

Starting from a DFT-relaxed cell (PBE, Alexandria), the X-ray powder pattern of ScCo3 was computed for Cu Ka.

Principal peaks in the range 2θ from 5° to 70°, by angle:
- d = 4.113 Å, I = 32
- d = 2.421 Å, I = 17
- d = 2.411 Å, I = 19
- d = 2.080 Å, I = 27
- d = 2.060 Å, I = 100
- d = 1.981 Å, I = 28
- d = 1.970 Å, I = 13
- d = 1.919 Å, I = 15
- d = 1.912 Å, I = 41
- d = 1.778 Å, I = 13

Structure:
```
ScCo3
1.0
4.1799 -2.4087 0.0000
4.1799 2.4087 0.0000
-2.7821 0.0000 7.9234
Sc Co
3 9
Cartesian
0.0000 0.0000 0.0000
0.0016 0.0000 3.3295
5.5761 0.0000 4.5939
2.0806 1.2229 1.9788
2.7886 0.0000 0.0440
1.3756 0.0000 5.9442
3.4971 1.2229 5.9446
2.7889 0.0000 3.9617
2.0806 -1.2229 1.9788
4.2022 0.0000 1.9792
2.7891 0.0000 7.8794
3.4971 -1.2229 5.9446
```

=====

Starting from a DFT-relaxed cell (PBE, Alexandria), the X-ray powder pattern of SnTeSe3 was computed for Cu Ka.

Principal peaks in the range 2θ from 5° to 70°, by angle:
- d = 10.262 Å, I = 25
- d = 5.131 Å, I = 38
- d = 3.130 Å, I = 100
- d = 2.903 Å, I = 100
- d = 2.672 Å, I = 29
- d = 2.453 Å, I = 29
- d = 2.253 Å, I = 19
- d = 2.073 Å, I = 57
- d = 2.033 Å, I = 76
- d = 1.665 Å, I = 19

Structure:
```
SnTeSe3
1.0
4.0652 0.0000 0.0000
-2.0326 3.5206 0.0000
0.0000 0.0000 20.5245
Sn Te Se
2 2 6
Cartesian
0.0000 2.3471 0.0000
2.0326 1.1735 10.2623
0.0000 0.0000 6.2101
0.0000 0.0000 16.4723
0.0000 0.0000 1.4977
0.0000 0.0000 11.7600
0.0000 2.3471 7.8874
0.0000 2.3471 14.8618
2.0326 1.1735 4.5996
2.0326 1.1735 18.1496
```

=====

Starting from a DFT-relaxed cell (PBE, Alexandria), the X-ray powder pattern of Fe5Re was computed for Cu Ka.

Principal peaks in the range 2θ from 5° to 70°, by angle:
- d = 8.809 Å, I = 47
- d = 4.405 Å, I = 11
- d = 2.869 Å, I = 9
- d = 2.728 Å, I = 17
- d = 2.404 Å, I = 15
- d = 2.052 Å, I = 100
- d = 2.029 Å, I = 49
- d = 1.977 Å, I = 5
- d = 1.468 Å, I = 8
- d = 1.434 Å, I = 15

Structure:
```
Fe5Re
1.0
2.8687 0.0000 0.0000
0.0000 2.8687 0.0000
0.0000 0.0000 8.8091
Fe Re
5 1
Cartesian
0.0000 0.0000 0.0000
0.0000 0.0000 2.8310
0.0000 0.0000 5.9781
1.4344 1.4344 1.4242
1.4344 1.4344 7.3849
1.4344 1.4344 4.4046
```

=====

Starting from a DFT-relaxed cell (PBE, Alexandria), the X-ray powder pattern of BaFeH6 was computed for Cu Ka.

Principal peaks in the range 2θ from 5° to 70°, by angle:
- d = 4.127 Å, I = 18
- d = 3.568 Å, I = 100
- d = 2.530 Å, I = 38
- d = 2.516 Å, I = 40
- d = 2.154 Å, I = 11
- d = 2.064 Å, I = 22
- d = 1.784 Å, I = 13
- d = 1.599 Å, I = 18
- d = 1.592 Å, I = 19
- d = 1.458 Å, I = 14

Structure:
```
BaFeH6
1.0
2.5296 1.4604 4.0973
-2.5296 1.4604 4.0973
0.0000 -2.9209 4.0973
Ba Fe H
1 1 6
Cartesian
0.0000 0.0000 0.0000
0.0000 0.0000 6.1459
-1.1629 -0.6714 5.2948
0.0000 -1.3428 6.9971
-1.1629 0.6714 6.9971
1.1629 -0.6714 5.2948
0.0000 1.3428 5.2948
1.1629 0.6714 6.9971
```